KCu2BSe4: simulated X-ray diffraction stick pattern (Cu Kα X-rays), based on a cell relaxed with GGA-PBE.
Neutral-atom scattering factors, no anomalous dispersion.

Atomic structure:
```
data_KCu2BSe4
_chemical_formula_sum 'K2 Cu4 B2 Se8'
_space_group_name_H-M_alt 'I -4 2 m'
_space_group_IT_number 121
_space_group_name_Hall 'I -4 2'
_cell_length_a 6.384
_cell_length_b 6.384
_cell_length_c 8.287
_cell_angle_alpha 90.00
_cell_angle_beta 90.00
_cell_angle_gamma 90.00
loop_
_atom_site_label
_atom_site_fract_x
_atom_site_fract_y
_atom_site_fract_z
K1 0.000 0.000 0.000
Cu1 0.000 0.500 0.250
B1 0.000 0.000 0.500
Se1 0.187 0.187 0.359
```

Most intense lines, 2θ = 5–70°, sorted by position:
2θ (°)  I/Imax
29.26  100
33.19  47
35.41  13
39.94  24
43.93  15
44.90  12
45.75  17
50.27  23
52.67  27
60.86  12



Pm3ErAl8: simulated X-ray diffraction stick pattern (Cu Kα X-rays), based on a cell relaxed with GGA-PBE.
Neutral-atom scattering factors, no anomalous dispersion.

Atomic structure:
```
data_Pm3ErAl8
_chemical_formula_sum 'Pm9 Er3 Al24'
_space_group_name_H-M_alt 'R 3 m'
_space_group_IT_number 160
_space_group_name_Hall 'R 3 -2"'
_cell_length_a 5.6204
_cell_length_b 5.6204
_cell_length_c 27.6534
_cell_angle_alpha 90.00
_cell_angle_beta 90.00
_cell_angle_gamma 120.00
loop_
_atom_site_label
_atom_site_fract_x
_atom_site_fract_y
_atom_site_fract_z
Pm1 0.0000 0.0000 0.0000
Pm2 0.0000 0.0000 0.1251
Pm3 0.0000 0.0000 0.6247
Er1 0.0000 0.0000 0.5005
Al1 0.0000 0.0000 0.3123
Al2 0.0000 0.0000 0.8129
Al3 0.9997 0.4998 0.5618
Al4 0.0007 0.5003 0.0634
```

Most intense lines, 2θ = 5–70°, sorted by position:
2θ (°)  I/Imax
19.31  62
31.80  100
37.46  76
37.52  25
56.50  10
56.70  29
60.41  19
60.49  12
66.33  11
66.55  11



Pm2Tl5Cl12: simulated X-ray diffraction stick pattern (Cu Kα X-rays), based on a cell relaxed with GGA-PBE.
Neutral-atom scattering factors, no anomalous dispersion.

Atomic structure:
```
data_Pm2Tl5Cl12
_chemical_formula_sum 'Pm4 Tl10 Cl24'
_space_group_name_H-M_alt 'C 1 2/m 1'
_space_group_IT_number 12
_space_group_name_Hall '-C 2y'
_cell_length_a 16.283
_cell_length_b 9.927
_cell_length_c 7.542
_cell_angle_alpha 90.00
_cell_angle_beta 105.31
_cell_angle_gamma 90.00
loop_
_atom_site_label
_atom_site_fract_x
_atom_site_fract_y
_atom_site_fract_z
Pm1 0.000 0.248 0.000
Tl1 0.000 0.500 0.500
Tl2 0.147 0.000 0.506
Tl3 0.243 0.500 0.998
Cl1 0.024 0.000 0.804
Cl2 0.077 0.500 0.187
Cl3 0.097 0.307 0.746
Cl4 0.164 0.194 0.212
```

Most intense lines, 2θ = 5–70°, sorted by position:
2θ (°)  I/Imax
17.87  64
19.17  71
20.18  84
22.93  93
24.47  64
25.09  72
25.97  80
30.47  60
36.19  65
37.93  100



ZnHgS2: simulated X-ray diffraction stick pattern (Cu Kα X-rays), based on a cell relaxed with GGA-PBE.
Neutral-atom scattering factors, no anomalous dispersion.

Atomic structure:
```
data_ZnHgS2
_chemical_formula_sum 'Zn4 Hg4 S8'
_space_group_name_H-M_alt 'P n a 21'
_space_group_IT_number 33
_space_group_name_Hall 'P 2c -2n'
_cell_length_a 6.959
_cell_length_b 8.088
_cell_length_c 6.615
_cell_angle_alpha 90.00
_cell_angle_beta 90.00
_cell_angle_gamma 90.00
loop_
_atom_site_label
_atom_site_fract_x
_atom_site_fract_y
_atom_site_fract_z
Zn1 0.078 0.126 0.000
Hg1 0.088 0.624 0.998
S1 0.066 0.110 0.643
S2 0.098 0.640 0.607
```

Most intense lines, 2θ = 5–70°, sorted by position:
2θ (°)  I/Imax
17.32  28
25.48  52
25.60  23
26.96  59
28.88  100
29.00  52
37.46  38
45.06  42
48.86  68
53.29  36



Tl10SbAu4: simulated X-ray diffraction stick pattern (Cu Kα X-rays), based on a cell relaxed with GGA-PBE.
Neutral-atom scattering factors, no anomalous dispersion.

Atomic structure:
```
data_Tl10SbAu4
_chemical_formula_sum 'Tl30 Sb3 Au12'
_space_group_name_H-M_alt 'R -3 m'
_space_group_IT_number 166
_space_group_name_Hall '-R 3 2"'
_cell_length_a 5.0147
_cell_length_b 5.0147
_cell_length_c 61.8756
_cell_angle_alpha 90.00
_cell_angle_beta 90.00
_cell_angle_gamma 120.00
loop_
_atom_site_label
_atom_site_fract_x
_atom_site_fract_y
_atom_site_fract_z
Tl1 0.0000 0.0000 0.0480
Tl2 0.0000 0.0000 0.1451
Tl3 0.0000 0.0000 0.2529
Tl4 0.0000 0.0000 0.3500
Tl5 0.0000 0.0000 0.4455
Sb1 0.0000 0.0000 0.5000
Au1 0.0000 0.0000 0.0963
Au2 0.0000 0.0000 0.3011
```

Most intense lines, 2θ = 5–70°, sorted by position:
2θ (°)  I/Imax
21.54  10
21.69  36
25.05  32
35.63  87
35.81  100
42.21  17
51.41  31
63.88  10
64.24  32
64.36  19



CePm2PN5: simulated X-ray diffraction stick pattern (Cu Kα X-rays), based on a cell relaxed with GGA-PBE.
Neutral-atom scattering factors, no anomalous dispersion.

Atomic structure:
```
data_CePm2PN5
_chemical_formula_sum 'Ce4 Pm8 P4 N20'
_space_group_name_H-M_alt 'I 4/m c m'
_space_group_IT_number 140
_space_group_name_Hall '-I 4 2c'
_cell_length_a 6.684
_cell_length_b 6.684
_cell_length_c 10.681
_cell_angle_alpha 90.00
_cell_angle_beta 90.00
_cell_angle_gamma 90.00
loop_
_atom_site_label
_atom_site_fract_x
_atom_site_fract_y
_atom_site_fract_z
Ce1 0.000 0.000 0.250
Pm1 0.177 0.323 0.000
P1 0.000 0.500 0.250
N1 0.000 0.000 0.000
N2 0.137 0.363 0.345
```

Most intense lines, 2θ = 5–70°, sorted by position:
2θ (°)  I/Imax
25.16  32
31.07  66
31.58  100
33.56  37
38.08  23
39.36  61
42.78  31
55.44  20
57.50  20
61.35  19



CePr2Ir2: simulated X-ray diffraction stick pattern (Cu Kα X-rays), based on a cell relaxed with GGA-PBE.
Neutral-atom scattering factors, no anomalous dispersion.

Atomic structure:
```
data_CePr2Ir2
_chemical_formula_sum 'Ce4 Pr8 Ir8'
_space_group_name_H-M_alt 'C 1 2/c 1'
_space_group_IT_number 15
_space_group_name_Hall '-C 2yc'
_cell_length_a 11.541
_cell_length_b 6.192
_cell_length_c 7.490
_cell_angle_alpha 90.00
_cell_angle_beta 100.77
_cell_angle_gamma 90.00
loop_
_atom_site_label
_atom_site_fract_x
_atom_site_fract_y
_atom_site_fract_z
Ce1 0.000 0.081 0.250
Pr1 0.157 0.385 0.648
Ir1 0.156 0.120 0.021
```

Most intense lines, 2θ = 5–70°, sorted by position:
2θ (°)  I/Imax
16.31  36
31.36  100
33.91  54
34.14  58
36.24  92
38.91  26
40.00  28
46.78  25
48.16  26
50.97  25



TlSeF6: simulated X-ray diffraction stick pattern (Cu Kα X-rays), based on a cell relaxed with GGA-PBE.
Neutral-atom scattering factors, no anomalous dispersion.

Atomic structure:
```
data_TlSeF6
_chemical_formula_sum 'Tl2 Se2 F12'
_space_group_name_H-M_alt 'C 1 2/m 1'
_space_group_IT_number 12
_space_group_name_Hall '-C 2y'
_cell_length_a 6.896
_cell_length_b 7.859
_cell_length_c 5.212
_cell_angle_alpha 90.00
_cell_angle_beta 101.23
_cell_angle_gamma 90.00
loop_
_atom_site_label
_atom_site_fract_x
_atom_site_fract_y
_atom_site_fract_z
Tl1 0.000 0.000 0.000
Se1 0.000 0.500 0.500
F1 0.085 0.334 0.751
F2 0.250 0.000 0.583
```

Most intense lines, 2θ = 5–70°, sorted by position:
2θ (°)  I/Imax
17.31  15
22.66  100
26.37  68
35.01  14
36.81  17
39.79  15
42.14  57
46.31  10
59.34  10
59.51  13



Please write out number 6 again, unchanged.
CePm2PN5: simulated X-ray diffraction stick pattern (Cu Kα X-rays), based on a cell relaxed with GGA-PBE.
Neutral-atom scattering factors, no anomalous dispersion.

Atomic structure:
```
data_CePm2PN5
_chemical_formula_sum 'Ce4 Pm8 P4 N20'
_space_group_name_H-M_alt 'I 4/m c m'
_space_group_IT_number 140
_space_group_name_Hall '-I 4 2c'
_cell_length_a 6.684
_cell_length_b 6.684
_cell_length_c 10.681
_cell_angle_alpha 90.00
_cell_angle_beta 90.00
_cell_angle_gamma 90.00
loop_
_atom_site_label
_atom_site_fract_x
_atom_site_fract_y
_atom_site_fract_z
Ce1 0.000 0.000 0.250
Pm1 0.177 0.323 0.000
P1 0.000 0.500 0.250
N1 0.000 0.000 0.000
N2 0.137 0.363 0.345
```

Most intense lines, 2θ = 5–70°, sorted by position:
2θ (°)  I/Imax
25.16  32
31.07  66
31.58  100
33.56  37
38.08  23
39.36  61
42.78  31
55.44  20
57.50  20
61.35  19